The following is a computed X-ray diffraction stick pattern of LaAlGaIr. It was derived from a cell relaxed with PBE, using a wavelength of 1.5418 Å.
Intensities are scaled so that the largest is 100.

Structure:
a = 4.3960 Å, b = 4.3960 Å, c = 15.5602 Å
α = 90.00°, β = 90.00°, γ = 120.00°
Space group R3m (No. 160, hexagonal axes)
Symmetry-distinct sites (fractional):
La  0.0000  0.0000  0.0000 x3
Al  0.0000  0.0000  0.4685 x3
Ga  0.0000  0.0000  0.2034 x3
Ir  0.0000  0.0000  0.8088 x3

The 6 most intense peaks (15° ≤ 2θ ≤ 90°), low angle first:
d (Å)	Rel. int.	h k l
3.698	100.0	1 0 1
2.721	46.5	1 0 4
2.409	96.7	0 1 5
2.198	90.5	1 1 0
1.677	37.2	1 1 6
1.624	28.8	2 0 5

The following is a computed X-ray diffraction stick pattern of Ho3Al2Fe7. It was derived from a cell relaxed with PBE, using a wavelength of 1.5418 Å.
Intensities are scaled so that the largest is 100.

Structure:
a = 5.1569 Å, b = 5.1569 Å, c = 24.2648 Å
α = 90.00°, β = 90.00°, γ = 120.00°
Space group R-3m (No. 166, hexagonal axes)
Symmetry-distinct sites (fractional):
Ho  0.0000  0.0000  0.0000 x3
Ho  0.0000  0.0000  0.1404 x6
Al  0.0000  0.0000  0.3330 x6
Fe  0.0000  0.0000  0.5000 x3
Fe  0.0010  0.5005  0.0834 x18

The 6 most intense peaks (15° ≤ 2θ ≤ 90°), low angle first:
d (Å)	Rel. int.	h k l
4.392	29.4	1 0 1
2.738	74.9	1 0 7
2.578	58.4	1 1 0
2.509	54.4	0 1 8
2.224	56.9	0 2 1
2.174	100.0	1 1 6

The following is a computed X-ray diffraction stick pattern of AgRhI. It was derived from a cell relaxed with PBE, using a wavelength of 1.5418 Å.
Intensities are scaled so that the largest is 100.

Structure:
a = 6.532 Å, b = 4.745 Å, c = 9.931 Å
α = 90.00°, β = 107.90°, γ = 90.00°
Space group Cm (No. 8)
Symmetry-distinct sites (fractional):
Ag  0.000  0.000  0.000 x2
Ag  0.039  0.500  0.870 x2
Rh  0.092  0.000  0.727 x2
Rh  0.190  0.500  0.642 x2
I  0.202  0.500  0.177 x2
I  0.258  0.000  0.513 x2

The 6 most intense peaks (15° ≤ 2θ ≤ 90°), low angle first:
d (Å)	Rel. int.	h k l
3.263	36.4	2 0 -1
2.713	98.0	2 0 1
2.676	88.1	1 1 -3
2.373	85.0	0 2 0
2.195	100.0	1 1 -4
1.964	70.3	3 1 -2

The following is a computed X-ray diffraction stick pattern of MgPt2. It was derived from a cell relaxed with PBE, using a wavelength of 1.5418 Å.
Intensities are scaled so that the largest is 100.

Structure:
a = 3.950 Å, b = 3.950 Å, c = 24.228 Å
α = 90.00°, β = 90.00°, γ = 90.00°
Space group I4_1/amd (No. 141, origin choice 2)
Symmetry-distinct sites (fractional):
Mg  0.000  0.250  0.296 x8
Pt  0.000  0.250  0.123 x8
Pt  0.000  0.250  0.791 x8

The 6 most intense peaks (15° ≤ 2θ ≤ 90°), low angle first:
d (Å)	Rel. int.	h k l
3.898	24.9	1 0 1
2.297	100.0	1 1 6
2.019	16.9	0 0 12
1.975	32.2	2 0 0
1.412	21.5	2 0 12
1.193	25.6	3 1 6

The following is a computed X-ray diffraction stick pattern of Dy8HoSc2. It was derived from a cell relaxed with PBE, using a wavelength of 1.5418 Å.
Intensities are scaled so that the largest is 100.

Structure:
a = 5.355 Å, b = 8.183 Å, c = 15.430 Å
α = 90.00°, β = 90.00°, γ = 90.00°
Space group Immm (No. 71)
Symmetry-distinct sites (fractional):
Dy  0.000  0.000  0.162 x4
Dy  0.000  0.205  0.358 x8
Dy  0.000  0.300  0.000 x4
Ho  0.000  0.500  0.500 x2
Sc  0.000  0.500  0.201 x4

The 6 most intense peaks (15° ≤ 2θ ≤ 90°), low angle first:
d (Å)	Rel. int.	h k l
3.875	19.5	1 1 2
2.923	29.5	1 1 4
2.748	100.0	1 2 3
2.686	20.9	0 3 1
2.677	40.0	2 0 0
2.572	18.2	0 0 6

The following is a computed X-ray diffraction stick pattern of Cs2CaInCl5. It was derived from a cell relaxed with PBE, using a wavelength of 1.5418 Å.
Intensities are scaled so that the largest is 100.

Structure:
a = 5.315 Å, b = 7.663 Å, c = 16.598 Å
α = 90.00°, β = 90.00°, γ = 90.00°
Space group Immm (No. 71)
Symmetry-distinct sites (fractional):
Cs  0.000  0.000  0.208 x4
Ca  0.000  0.500  0.500 x2
In  0.000  0.500  0.000 x2
Cl  0.000  0.000  0.000 x2
Cl  0.000  0.248  0.382 x8

The 6 most intense peaks (15° ≤ 2θ ≤ 90°), low angle first:
d (Å)	Rel. int.	h k l
4.486	28.5	0 1 3
3.865	100.0	1 1 2
3.053	48.1	1 2 1
2.815	82.4	1 0 5
2.657	27.8	2 0 0
1.932	24.5	2 2 4